Simulated X-ray diffraction stick pattern
Compound: CuAg6Cl12
Radiation: Cu Ka
Structure: a DFT-relaxed cell (PBE, Alexandria)

Cell and atoms:
abc: 7.837 7.853 9.259
angles: 71.07 81.68 79.54
Space group P-1 (No. 2)
Symmetry-distinct sites (fractional):
Cu (0.000, 0.000, 0.000) (multiplicity 1)
Ag (0.166, 0.778, 0.623) (multiplicity 2)
Ag (0.279, 0.409, 0.455) (multiplicity 2)
Ag (0.370, 0.144, 0.121) (multiplicity 2)
Cl (0.014, 0.184, 0.142) (multiplicity 2)
Cl (0.113, 0.454, 0.689) (multiplicity 2)
Cl (0.207, 0.100, 0.530) (multiplicity 2)
Cl (0.297, 0.960, 0.968) (multiplicity 2)
Cl (0.346, 0.729, 0.392) (multiplicity 2)
Cl (0.448, 0.369, 0.223) (multiplicity 2)

Main lines, by angle (10 to 90 degrees two-theta):
10.14°, I = 19.9
18.01°, I = 100.0
24.46°, I = 75.7
25.12°, I = 26.9
26.71°, I = 18.5
33.35°, I = 15.4
34.73°, I = 27.2
40.19°, I = 22.5